This entry pairs a crystal structure of CoNiB2 with its theoretical PXRD pattern. Radiation: λ = 1.5418 Å (Cu Kα). Structure: a DFT-relaxed cell (PBE, OQMD).

Most intense lines, 2θ from 10° to 90°, most intense first:
hkl  two_theta  I_rel
1 1 1  45.18  100
1 0 2  39.00  86
0 1 3  48.81  50
0 1 1  33.08  45
0 0 4  50.12  21
1 2 2  77.37  20
2 1 3  82.76  19
1 1 5  80.41  18
1 1 3  58.30  17
2 0 0  62.12  16

```
CoNiB2
1.0
2.988 0.000 0.000
0.000 2.918 0.000
0.000 0.000 7.281
Co Ni B
2 2 4
Direct
0.000 0.000 0.000 Co
0.000 0.500 0.500 Co
0.500 0.000 0.712 Ni
0.500 0.500 0.212 Ni
0.000 0.000 0.288 B
0.000 0.500 0.788 B
0.500 0.000 0.428 B
0.500 0.500 0.928 B
```